Diffraction record for Ba3CrFe2O9. The PXRD pattern is calculated, not measured: it uses a PBE+U-relaxed structure and CuKα.
Lines closer than 0.1° are merged.

Main lines, in order of rising 2θ (2θ from 15° to 90°):
- 22.08°, I = 24, (1 0 1)
- 31.36°, I = 100, (0 1 2)
- 31.49°, I = 99, (1 1 0)
- 38.79°, I = 28, (0 2 1)
- 45.04°, I = 67, (2 0 2)
- 55.74°, I = 19, (1 0 4)
- 56.01°, I = 57, (3 0 0)
- 65.43°, I = 20, (0 2 4)
- 65.74°, I = 20, (2 2 0)
- 74.43°, I = 17, (2 1 4)

Structure:
Cell: 5.6820 5.6820 7.0019 Å, 90.00 90.00 120.00°
Space group P-3m1 (No. 164)
Inequivalent atoms, fractional coordinates:
Ba (0.0000, 0.0000, 0.0000) x1
Ba (0.3333, 0.6667, 0.6666) x2
Cr (0.0000, 0.0000, 0.5000) x1
Fe (0.3333, 0.6667, 0.1653) x2
O (0.0000, 0.5000, 0.0000) x3
O (0.1627, 0.3254, 0.3375) x6